LaNiPt2F: computed powder XRD pattern (Cu Kα (weighted mean of Kα1 and Kα2)), based on DFT lattice parameters and positions (PBE+U).
Lines closer than 0.1° are merged.

Cell and atoms:
Lattice parameters (Å, degrees): 5.399 5.399 4.432 90.00 90.00 90.00
Sites, in units of the cell vectors:
La: 0.000 0.000 0.000
Ni: 0.500 0.500 0.500
Pt: 0.000 0.500 0.000
Pt: 0.500 0.000 0.000
F: 0.000 0.000 0.500

Most intense lines, 10° ≤ 2θ ≤ 90°, by angle:
2θ/deg  I/Imax  h k l
20.0  89  0 0 1
26.0  34  1 0 1
30.9  72  1 1 1
33.2  100  2 0 0
39.1  67  2 0 1
40.7  29  0 0 2
47.6  36  2 2 0
52.2  30  2 2 1
53.5  51  2 0 2
64.4  29  2 2 2